(1)
Theoretical powder diffractogram
Compound: BaOsO2
Radiation: a wavelength of 1.5418 Å
Structure: a GGA-PBE-relaxed structure

Structure:
```
data_BaOsO2
_chemical_formula_sum 'Ba8 Os8 O16'
_symmetry_space_group_name_H-M 'I 41/a m d'
_symmetry_Int_Tables_number 141
_cell_length_a 6.518
_cell_length_b 6.518
_cell_length_c 12.938
_cell_angle_alpha 90.00
_cell_angle_beta 90.00
_cell_angle_gamma 90.00
loop_
_symmetry_equiv_pos_as_xyz
'x,y,z'
'-x,-y,-z'
'-y+1/4,x+3/4,z+1/4'
'y+1/4,-x+3/4,-z+1/4'
'-x+1/2,-y,z+1/2'
'x+1/2,y,-z+1/2'
'y+1/4,-x+1/4,z+3/4'
'-y+1/4,x+1/4,-z+3/4'
'x,-y,-z'
'-x,y,z'
'-y+1/4,-x+1/4,-z+3/4'
'y+1/4,x+1/4,z+3/4'
'-x+1/2,y,-z+1/2'
'x+1/2,-y,z+1/2'
'y+1/4,x+3/4,-z+1/4'
'-y+1/4,-x+3/4,z+1/4'
'x+1/2,y+1/2,z+1/2'
'-x+1/2,-y+1/2,-z+1/2'
'-y+3/4,x+1/4,z+3/4'
'y+3/4,-x+1/4,-z+3/4'
'-x,-y+1/2,z'
'x,y+1/2,-z'
'y+3/4,-x+3/4,z+1/4'
'-y+3/4,x+3/4,-z+1/4'
'x+1/2,-y+1/2,-z+1/2'
'-x+1/2,y+1/2,z+1/2'
'-y+3/4,-x+3/4,-z+1/4'
'y+3/4,x+3/4,z+1/4'
'-x,y+1/2,-z'
'x,-y+1/2,z'
'y+3/4,x+1/4,-z+3/4'
'-y+3/4,-x+1/4,z+3/4'
loop_
_atom_site_label
_atom_site_fract_x
_atom_site_fract_y
_atom_site_fract_z
Ba1 0.000 0.000 0.000
Os1 0.000 0.000 0.500
O1 0.000 0.066 0.212
```

Peak list (12 most intense, 2θ = 10–90°, low angle first)
(0 0 4), 27.58 deg, intensity 44; (2 0 2), 30.72 deg, intensity 100; (2 2 0), 39.09 deg, intensity 35; (2 2 4), 48.50 deg, intensity 36; (2 0 6), 50.77 deg, intensity 29; (4 0 0), 56.47 deg, intensity 12; (4 0 4), 63.98 deg, intensity 15; (4 2 2), 65.67 deg, intensity 26; (2 2 8), 71.23 deg, intensity 10; (4 2 6), 79.35 deg, intensity 16; (2 0 10), 79.75 deg, intensity 9; (4 0 8), 84.38 deg, intensity 7

---

(2)
Theoretical powder diffractogram
Compound: MgSi2Ag8O8
Radiation: a wavelength of 1.5418 Å
Structure: a GGA-PBE-relaxed structure

Structure:
```
data_MgSi2Ag8O8
_chemical_formula_sum 'Mg1 Si2 Ag8 O8'
_symmetry_space_group_name_H-M 'P -4'
_symmetry_Int_Tables_number 81
_cell_length_a 7.712
_cell_length_b 7.712
_cell_length_c 5.107
_cell_angle_alpha 90.00
_cell_angle_beta 90.00
_cell_angle_gamma 90.00
loop_
_symmetry_equiv_pos_as_xyz
'x,y,z'
'y,-x,-z'
'-x,-y,z'
'-y,x,-z'
loop_
_atom_site_label
_atom_site_fract_x
_atom_site_fract_y
_atom_site_fract_z
Mg1 0.000 0.000 0.000
Si1 0.000 0.000 0.500
Si2 0.500 0.500 0.000
Ag1 0.124 0.634 0.916
Ag2 0.184 0.407 0.488
O1 0.051 0.158 0.705
O2 0.338 0.567 0.190
```

Peak list (12 most intense, 2θ = 10–90°, low angle first)
(1 1 0), 16.26 deg, intensity 14; (1 0 1), 20.86 deg, intensity 8; (2 1 0), 25.83 deg, intensity 7; (1 2 1), 31.30 deg, intensity 100; (0 0 2), 35.14 deg, intensity 10; (3 1 0), 36.86 deg, intensity 23; (1 0 2), 37.09 deg, intensity 8; (2 2 1), 37.39 deg, intensity 10; (1 3 1), 41.01 deg, intensity 7; (2 3 1), 46.01 deg, intensity 11; (3 1 2), 51.84 deg, intensity 18; (5 0 1), 62.95 deg, intensity 9

---

(3)
Theoretical powder diffractogram
Compound: HfNbTc2
Radiation: a wavelength of 1.5418 Å
Structure: a GGA-PBE-relaxed structure

Structure:
```
data_HfNbTc2
_chemical_formula_sum 'Hf4 Nb4 Tc8'
_symmetry_space_group_name_H-M 'F m -3 m'
_symmetry_Int_Tables_number 225
_symmetry_space_group_name_Hall '-F 4 2 3'
_cell_length_a 6.458
_cell_length_b 6.458
_cell_length_c 6.458
_cell_angle_alpha 90.00
_cell_angle_beta 90.00
_cell_angle_gamma 90.00
loop_
_atom_site_label
_atom_site_fract_x
_atom_site_fract_y
_atom_site_fract_z
Hf1 0.000 0.000 0.000
Nb1 0.000 0.000 0.500
Tc1 0.250 0.250 0.250
```

Peak list (12 most intense, 2θ = 10–90°, low angle first)
(1 1 1), 23.87 deg, intensity 7; (2 0 0), 27.63 deg, intensity 3; (2 2 0), 39.47 deg, intensity 100; (3 1 1), 46.65 deg, intensity 4; (2 2 2), 48.85 deg, intensity 1; (4 0 0), 57.05 deg, intensity 17; (3 3 1), 62.71 deg, intensity 2; (4 2 0), 64.54 deg, intensity 1; (4 2 2), 71.58 deg, intensity 34; (5 1 1), 76.68 deg, intensity 1; (4 4 0), 84.96 deg, intensity 11; (5 3 1), 89.86 deg, intensity 1